(1)
Computed powder XRD pattern of Ac2ZnGaNi for λ = 1.5418 Å (Cu Kα), from a structure optimized by DFT (PBE).

Largest 10 diffraction maxima, low angle first, 15 to 90 degrees two-theta:
2θ (°), I (rel.)
23.1, 78.9
23.3, 42.1
29.9, 60.0
30.8, 44.2
31.3, 31.4
32.1, 100.0
32.8, 34.7
34.0, 60.0
36.5, 39.6
40.5, 50.5

abc: 7.666 4.459 8.203
angles: 90.00 111.30 90.00
Space group P2_1/m (No. 11)
Asymmetric unit:
Ac  0.072  0.250  0.219 [2 per cell]
Ac  0.361  0.750  0.650 [2 per cell]
Zn  0.355  0.750  0.091 [2 per cell]
Ga  0.281  0.250  0.908 [2 per cell]
Ni  0.059  0.250  0.584 [2 per cell]



(2)
Computed powder XRD pattern of Ac2GaO5 for λ = 1.5418 Å (Cu Kα), from a structure optimized by DFT (PBE).

Largest 10 diffraction maxima, low angle first, 15 to 90 degrees two-theta:
2θ (°), I (rel.)
20.0, 85.4
22.0, 61.9
22.2, 66.1
27.7, 78.4
29.3, 55.4
29.5, 59.6
30.6, 100.0
34.3, 31.8
34.9, 53.1
49.8, 33.6

abc: 5.147 5.960 5.971
angles: 65.41 67.12 66.50
Space group P1 (No. 1)
Asymmetric unit:
Ac  0.000  0.000  0.000 [1 per cell]
Ac  0.475  0.572  0.486 [1 per cell]
Ga  0.253  0.271  0.273 [1 per cell]
O  0.009  0.579  0.363 [1 per cell]
O  0.155  0.997  0.554 [1 per cell]
O  0.246  0.328  0.940 [1 per cell]
O  0.512  0.899  0.060 [1 per cell]
O  0.623  0.282  0.240 [1 per cell]